Record 1
For LiCr3O8, a structure optimized by DFT (GGA+U) gives the calculated powder XRD pattern in this record (Cu Kα X-rays).
Intensities are scaled so that the largest is 100.

Cell and atoms:
```
LiCr3O8
1.0
14.668 0.000 0.000
0.000 5.583 0.000
0.000 0.000 8.137
Li Cr O
4 12 32
Direct
0.215 0.250 0.001
0.285 0.750 0.501
0.715 0.250 0.499
0.785 0.750 0.999
0.057 0.250 0.762
0.088 0.250 0.353
0.122 0.750 0.968
0.378 0.250 0.468
0.412 0.750 0.853
0.443 0.750 0.262
0.557 0.250 0.738
0.588 0.250 0.147
0.622 0.750 0.532
0.878 0.250 0.032
0.912 0.750 0.647
0.943 0.750 0.238
0.013 0.750 0.027
0.025 0.006 0.320
0.025 0.494 0.320
0.124 0.250 0.550
0.143 0.008 0.861
0.143 0.492 0.861
0.177 0.250 0.234
0.187 0.750 0.126
0.313 0.250 0.626
0.323 0.750 0.734
0.357 0.508 0.361
0.357 0.992 0.361
0.376 0.750 0.050
0.475 0.506 0.820
0.475 0.994 0.820
0.487 0.250 0.527
0.513 0.750 0.473
0.525 0.006 0.180
0.525 0.494 0.180
0.624 0.250 0.950
0.643 0.008 0.639
0.643 0.492 0.639
0.677 0.250 0.266
0.687 0.750 0.374
0.813 0.250 0.874
0.823 0.750 0.766
0.857 0.508 0.139
0.857 0.992 0.139
0.876 0.750 0.450
0.975 0.506 0.680
0.975 0.994 0.680
0.987 0.250 0.973
```

Largest 8 diffraction maxima, in order of rising 2θ, 2θ = 10–90°:
two_theta  I/Imax
12.1  100.0
20.0  23.3
20.2  87.0
26.6  64.9
28.5  36.7
29.1  24.9
29.8  63.4
32.1  37.7

Record 2
For MoO3, a structure optimized by DFT (GGA+U) gives the calculated powder XRD pattern in this record (Cu Kα X-rays).
Intensities are scaled so that the largest is 100.

Cell and atoms:
```
MoO3
1.0
7.436 0.000 0.000
0.000 5.398 0.000
-1.137 0.000 5.450
Mo O
4 12
Direct
0.000 0.227 0.000
0.000 0.773 0.500
0.520 0.248 0.160
0.520 0.752 0.660
0.253 0.193 0.072
0.253 0.807 0.572
0.500 0.485 0.390
0.500 0.515 0.890
0.568 0.019 0.926
0.568 0.981 0.426
0.810 0.394 0.168
0.810 0.606 0.668
0.958 0.064 0.707
0.958 0.936 0.207
0.991 0.429 0.344
0.991 0.571 0.844
```

Largest 8 diffraction maxima, in order of rising 2θ, 2θ = 10–90°:
two_theta  I/Imax
23.2  100.0
24.5  60.2
24.6  17.9
27.8  14.3
31.4  28.2
36.4  14.9
47.3  15.1
52.2  12.8

Record 3
For KFePO4, a structure optimized by DFT (GGA+U) gives the calculated powder XRD pattern in this record (Cu Kα X-rays).
Intensities are scaled so that the largest is 100.

Cell and atoms:
```
KFePO4
1.0
9.880 0.000 0.000
0.000 8.841 0.000
-5.051 0.000 9.941
K Fe P O
8 8 8 32
Direct
0.033 0.003 0.341
0.033 0.497 0.841
0.437 0.526 0.169
0.437 0.974 0.669
0.563 0.026 0.331
0.563 0.474 0.831
0.967 0.503 0.159
0.967 0.997 0.659
0.153 0.624 0.559
0.153 0.876 0.059
0.348 0.152 0.956
0.348 0.348 0.456
0.652 0.652 0.544
0.652 0.848 0.044
0.847 0.124 0.941
0.847 0.376 0.441
0.194 0.193 0.147
0.194 0.307 0.647
0.303 0.717 0.371
0.303 0.783 0.871
0.697 0.217 0.129
0.697 0.283 0.629
0.806 0.693 0.353
0.806 0.807 0.853
0.042 0.109 0.115
0.042 0.391 0.615
0.169 0.156 0.575
0.169 0.344 0.075
0.190 0.708 0.737
0.190 0.792 0.237
0.262 0.732 0.984
0.262 0.768 0.484
0.281 0.078 0.097
0.281 0.422 0.597
0.288 0.542 0.351
0.288 0.958 0.851
0.289 0.203 0.302
0.289 0.297 0.802
0.468 0.735 0.907
0.468 0.765 0.407
0.532 0.235 0.593
0.532 0.265 0.093
0.711 0.703 0.198
0.711 0.797 0.698
0.712 0.042 0.149
0.712 0.458 0.649
0.719 0.578 0.403
0.719 0.922 0.903
0.738 0.232 0.516
0.738 0.268 0.016
0.810 0.208 0.763
0.810 0.292 0.263
0.831 0.656 0.925
0.831 0.844 0.425
0.958 0.609 0.385
0.958 0.891 0.885
```

Largest 8 diffraction maxima, in order of rising 2θ, 2θ = 10–90°:
two_theta  I/Imax
13.4  97.5
27.1  60.2
27.2  82.2
27.5  100.0
28.5  71.5
28.6  60.6
32.7  61.4
36.4  62.3

Record 4
For NpCrO11, a structure optimized by DFT (GGA+U) gives the calculated powder XRD pattern in this record (Cu Kα X-rays).
Intensities are scaled so that the largest is 100.

Cell and atoms:
```
NpCrO11
1.0
9.002 0.000 0.000
0.000 11.307 0.000
-0.626 0.000 9.186
Np Cr O
4 4 44
Direct
0.038 0.066 0.335
0.038 0.434 0.835
0.962 0.566 0.165
0.962 0.934 0.665
0.182 0.136 0.960
0.182 0.364 0.460
0.818 0.636 0.540
0.818 0.864 0.040
0.086 0.069 0.563
0.086 0.431 0.063
0.089 0.035 0.852
0.089 0.153 0.112
0.089 0.347 0.612
0.089 0.465 0.352
0.115 0.668 0.160
0.115 0.832 0.660
0.193 0.234 0.373
0.193 0.266 0.873
0.195 0.528 0.814
0.195 0.972 0.314
0.328 0.676 0.522
0.328 0.824 0.022
0.348 0.090 0.003
0.348 0.410 0.503
0.405 0.647 0.638
0.405 0.853 0.138
0.446 0.005 0.590
0.446 0.495 0.090
0.455 0.730 0.724
0.455 0.770 0.224
0.545 0.230 0.776
0.545 0.270 0.276
0.554 0.505 0.910
0.554 0.995 0.410
0.595 0.147 0.862
0.595 0.353 0.362
0.652 0.590 0.497
0.652 0.910 0.997
0.672 0.176 0.978
0.672 0.324 0.478
0.805 0.028 0.686
0.805 0.472 0.186
0.807 0.734 0.127
0.807 0.766 0.627
0.885 0.168 0.340
0.885 0.332 0.840
0.911 0.535 0.648
0.911 0.653 0.388
0.911 0.847 0.888
0.911 0.965 0.148
0.914 0.569 0.937
0.914 0.931 0.437
```

Largest 8 diffraction maxima, in order of rising 2θ, 2θ = 10–90°:
two_theta  I/Imax
15.7  44.6
16.3  69.7
18.5  71.4
19.8  40.1
21.3  100.0
24.0  54.8
26.8  43.5
30.2  51.2

Record 5
For VOF, a structure optimized by DFT (GGA+U) gives the calculated powder XRD pattern in this record (Cu Kα X-rays).
Intensities are scaled so that the largest is 100.

Cell and atoms:
```
VOF
1.0
4.748 0.000 0.000
0.000 3.105 0.000
-0.007 0.000 18.896
V O F
8 8 8
Direct
0.000 0.000 0.000
0.000 0.000 0.500
0.090 0.000 0.250
0.463 0.500 0.875
0.466 0.500 0.625
0.534 0.500 0.375
0.537 0.500 0.125
0.910 0.000 0.750
0.186 0.500 0.550
0.248 0.500 0.302
0.278 0.000 0.925
0.344 0.000 0.174
0.656 0.000 0.826
0.722 0.000 0.075
0.752 0.500 0.698
0.814 0.500 0.450
0.154 0.500 0.796
0.209 0.500 0.048
0.263 0.000 0.676
0.326 0.000 0.424
0.674 0.000 0.576
0.737 0.000 0.324
0.791 0.500 0.952
0.846 0.500 0.204
```

Largest 8 diffraction maxima, in order of rising 2θ, 2θ = 10–90°:
two_theta  I/Imax
26.6  100.0
34.5  50.3
39.6  23.6
52.2  23.2
52.3  30.7
54.8  15.1
66.3  17.7
66.6  12.9

Record 6
For BaMgNi4O8, a structure optimized by DFT (GGA+U) gives the calculated powder XRD pattern in this record (Cu Kα X-rays).
Intensities are scaled so that the largest is 100.

Cell and atoms:
```
BaMgNi4O8
1.0
4.962 -3.113 0.000
4.962 3.113 0.000
-3.340 0.000 5.482
Ba Mg Ni O
1 1 4 8
Direct
0.000 0.000 0.000
0.500 0.500 0.000
0.000 0.000 0.500
0.000 0.500 0.500
0.500 0.000 0.500
0.500 0.500 0.500
0.242 0.242 0.694
0.253 0.701 0.698
0.284 0.284 0.323
0.299 0.747 0.302
0.701 0.253 0.698
0.716 0.716 0.677
0.747 0.299 0.302
0.758 0.758 0.306
```

Largest 8 diffraction maxima, in order of rising 2θ, 2θ = 10–90°:
two_theta  I/Imax
16.2  47.1
18.6  36.1
20.0  25.9
32.7  41.5
35.8  44.5
40.6  100.0
42.7  42.0
56.9  28.5